Structure and simulated XRD peak list of Gd2TmIn3Cu2Pt (DFT lattice parameters and positions (PBE); CuKα).

Main lines, by angle (10 to 80 degrees two-theta):
| d/Å | 2θ (°) | I/Imax | (hkl) |
| --- | --- | --- | --- |
| 2.736 | 32.7 | 100 | 1 3 1 |
| 2.523 | 35.6 | 99 | 1 4 0 |
| 2.467 | 36.4 | 40 | 0 1 3 |
| 2.175 | 41.5 | 42 | 0 6 0 |
| 2.096 | 43.2 | 28 | 1 1 3 |
| 1.401 | 66.8 | 36 | 1 1 5 |

Structure:
Lattice parameters (Å, degrees): 3.978 13.056 7.533 90.00 90.00 90.00
Space group Amm2 (No. 38)
Inequivalent atoms, fractional coordinates:
1 Gd 0.000 0.202 0.000 x4
2 Tm 0.000 0.000 0.394 x2
3 In 0.500 0.000 0.060 x2
4 In 0.500 0.131 0.664 x4
5 Cu 0.500 0.164 0.298 x4
6 Pt 0.000 0.000 0.793 x2